# 1
CaV6O11F: theoretical X-ray powder pattern (Cu Kα X-rays), based on a DFT-relaxed cell (PBE+U, the Materials Project).

Principal peaks in the range 10 to 90 degrees two-theta, in order of falling intensity:
2θ (°), I/Imax
28.98, 100
21.98, 89
22.80, 82
29.98, 73
36.72, 61
19.66, 52

Structure:
Cell: 5.0877 5.1548 10.0915 Å, 89.61 80.47 74.75°
Element x y z (fractional)
Ca  0.0000  0.0000  0.0000
V  0.2112  0.4717  0.7708
V  0.3107  0.2092  0.2028
V  0.3810  0.4063  0.4806
V  0.6657  0.6463  0.9488
V  0.7049  0.8210  0.6553
V  0.8657  0.8494  0.3686
O  0.0245  0.0081  0.2265
O  0.0334  0.4075  0.9488
O  0.0489  0.5144  0.6128
O  0.1260  0.5213  0.3321
O  0.4810  0.6599  0.7958
O  0.4841  0.1617  0.6570
O  0.5108  0.9644  0.0535
O  0.5200  0.1000  0.3531
O  0.6083  0.6575  0.4907
O  0.8930  0.8349  0.8121
O  0.9531  0.9811  0.4998
F  0.5493  0.4417  0.1141

***

# 2
LiMnO2: theoretical X-ray powder pattern (Cu Kα X-rays), based on a DFT-relaxed cell (PBE+U, the Materials Project).

Principal peaks in the range 10 to 90 degrees two-theta, in order of falling intensity:
2θ (°), I/Imax
18.11, 100
44.51, 49
38.66, 40
60.40, 34
36.19, 24
32.77, 22

Structure:
Cell: 6.1877 6.1846 5.7578 Å, 62.29 62.24 55.47°
Element x y z (fractional)
Li  0.0000  0.0000  0.0000
Li  0.0000  0.0000  0.5000
Li  0.0000  0.5000  0.0000
Li  0.5000  0.0000  0.0000
Mn  0.0000  0.5000  0.5000
Mn  0.5000  0.0000  0.5000
Mn  0.5000  0.5000  0.0000
Mn  0.5000  0.5000  0.5000
O  0.2491  0.2494  0.2701
O  0.2494  0.2491  0.7314
O  0.2686  0.7299  0.7506
O  0.2701  0.7314  0.2491
O  0.7299  0.2686  0.7509
O  0.7314  0.2701  0.2494
O  0.7506  0.7509  0.2686
O  0.7509  0.7506  0.7299

***

# 3
MgV2O4: theoretical X-ray powder pattern (Cu Kα X-rays), based on a DFT-relaxed cell (PBE+U, the Materials Project).

Principal peaks in the range 10 to 90 degrees two-theta, in order of falling intensity:
2θ (°), I/Imax
17.19, 100
50.08, 46
39.13, 43
34.84, 36
49.93, 22
38.94, 21

Structure:
Cell: 5.9298 10.3147 5.1761 Å, 90.00 90.00 90.00°
Element x y z (fractional)
Mg  0.2500  0.2500  0.0093
Mg  0.2500  0.7500  0.3394
Mg  0.7500  0.2500  0.6606
Mg  0.7500  0.7500  0.9907
V  0.0000  0.0000  0.5000
V  0.0000  0.5000  0.5000
V  0.2500  0.5145  0.9876
V  0.2500  0.9855  0.9876
V  0.5000  0.0000  0.5000
V  0.5000  0.5000  0.5000
V  0.7500  0.0145  0.0124
V  0.7500  0.4855  0.0124
O  0.0040  0.1149  0.8413
O  0.0040  0.3851  0.8413
O  0.2500  0.0960  0.3080
O  0.2500  0.4040  0.3080
O  0.2500  0.6098  0.6442
O  0.2500  0.8902  0.6442
O  0.4960  0.1149  0.8413
O  0.4960  0.3851  0.8413
O  0.5040  0.6149  0.1587
O  0.5040  0.8851  0.1587
O  0.7500  0.1098  0.3558
O  0.7500  0.3902  0.3558
O  0.7500  0.5960  0.6920
O  0.7500  0.9040  0.6920
O  0.9960  0.6149  0.1587
O  0.9960  0.8851  0.1587